No. 1
# PrPa3Mn4N12
Calculated powder XRD pattern, λ = 1.5418 Å (Cu Kα). Input: a DFT-relaxed cell (PBE, Alexandria).
Neutral-atom scattering factors, no anomalous dispersion.

Structural model:
```
data_PrPa3Mn4N12
_symmetry_space_group_name_H-M 'P 1'
_symmetry_Int_Tables_number 1
_symmetry_space_group_name_Hall 'P 1'
_cell_length_a 7.0677
_cell_length_b 7.0677
_cell_length_c 7.0677
_cell_angle_alpha 104.69
_cell_angle_beta 104.69
_cell_angle_gamma 104.69
loop_
_atom_site_label
_atom_site_fract_x
_atom_site_fract_y
_atom_site_fract_z
_atom_site_occupancy
Pr1 0.0000 0.0000 0.0000 1
Pa1 0.0000 0.5472 0.4528 1
Pa2 0.4528 0.0000 0.5472 1
Pa3 0.5472 0.4528 0.0000 1
Mn1 0.0478 0.5000 0.9522 1
Mn2 0.5000 0.5000 0.5000 1
Mn3 0.5000 0.9522 0.0478 1
Mn4 0.9522 0.0478 0.5000 1
N1 0.0284 0.6495 0.7940 1
N2 0.1086 0.8914 0.5000 1
N3 0.2060 0.3505 0.9716 1
N4 0.3443 0.6557 0.5000 1
N5 0.3505 0.9716 0.2060 1
N6 0.5000 0.1086 0.8914 1
N7 0.5000 0.3443 0.6557 1
N8 0.6495 0.7940 0.0284 1
N9 0.6557 0.5000 0.3443 1
N10 0.7940 0.0284 0.6495 1
N11 0.8914 0.5000 0.1086 1
N12 0.9716 0.2060 0.3505 1
```

Top 8 peaks for 2θ from 10° to 80°, by angle:
| 2θ (°) | I_rel |
| --- | --- |
| 15.84 | 21 |
| 21.05 | 55 |
| 26.45 | 26 |
| 27.75 | 100 |
| 31.99 | 38 |
| 34.98 | 28 |
| 42.83 | 20 |
| 46.23 | 24 |

No. 2
# AlH6ClO4
Calculated powder XRD pattern, λ = 1.5418 Å (Cu Kα). Input: a DFT-relaxed cell (PBE, Alexandria).
Neutral-atom scattering factors, no anomalous dispersion.

Structural model:
```
data_AlH6ClO4
_symmetry_space_group_name_H-M 'P 1'
_symmetry_Int_Tables_number 1
_symmetry_space_group_name_Hall 'P 1'
_cell_length_a 8.0194
_cell_length_b 8.0194
_cell_length_c 5.1927
_cell_angle_alpha 107.82
_cell_angle_beta 107.82
_cell_angle_gamma 113.78
loop_
_atom_site_label
_atom_site_fract_x
_atom_site_fract_y
_atom_site_fract_z
_atom_site_occupancy
Al1 0.0503 0.9497 0.7500 1
Al2 0.9497 0.0503 0.2500 1
H1 0.1161 0.4179 0.2848 1
H2 0.1284 0.6966 0.8998 1
H3 0.1737 0.3248 0.8381 1
H4 0.3034 0.8716 0.6002 1
H5 0.3248 0.1737 0.3381 1
H6 0.4179 0.1161 0.7848 1
H7 0.5821 0.8839 0.2152 1
H8 0.6752 0.8263 0.6619 1
H9 0.6966 0.1284 0.3998 1
H10 0.8263 0.6752 0.1619 1
H11 0.8716 0.3034 0.1002 1
H12 0.8839 0.5821 0.7152 1
Cl1 0.3346 0.6654 0.2500 1
Cl2 0.6654 0.3346 0.7500 1
O1 0.0149 0.6874 0.7374 1
O2 0.1021 0.1791 0.6812 1
O3 0.1791 0.1021 0.1812 1
O4 0.3126 0.9851 0.7626 1
O5 0.6874 0.0149 0.2374 1
O6 0.8209 0.8979 0.8188 1
O7 0.8979 0.8209 0.3188 1
O8 0.9851 0.3126 0.2626 1
```

Top 8 peaks for 2θ from 10° to 80°, by angle:
| 2θ (°) | I_rel |
| --- | --- |
| 13.87 | 100 |
| 23.34 | 38 |
| 24.57 | 78 |
| 25.25 | 34 |
| 33.86 | 25 |
| 42.01 | 22 |
| 42.51 | 22 |
| 45.89 | 32 |

No. 3
# K2CaRe2N6
Calculated powder XRD pattern, λ = 1.5418 Å (Cu Kα). Input: a DFT-relaxed cell (PBE, Alexandria).
Neutral-atom scattering factors, no anomalous dispersion.

Structural model:
```
data_K2CaRe2N6
_symmetry_space_group_name_H-M 'P 1'
_symmetry_Int_Tables_number 1
_symmetry_space_group_name_Hall 'P 1'
_cell_length_a 6.4000
_cell_length_b 6.4000
_cell_length_c 7.5353
_cell_angle_alpha 118.83
_cell_angle_beta 118.83
_cell_angle_gamma 60.12
loop_
_atom_site_label
_atom_site_fract_x
_atom_site_fract_y
_atom_site_fract_z
_atom_site_occupancy
K1 0.2119 0.2119 0.1920 1
K2 0.7881 0.7881 0.8080 1
Ca1 0.0000 0.0000 0.5000 1
Re1 0.4560 0.4560 0.7925 1
Re2 0.5440 0.5440 0.2075 1
N1 0.2384 0.7046 0.2443 1
N2 0.2619 0.2619 0.6425 1
N3 0.2954 0.7616 0.7557 1
N4 0.7046 0.2384 0.2443 1
N5 0.7381 0.7381 0.3575 1
N6 0.7616 0.2954 0.7557 1
```

Top 8 peaks for 2θ from 10° to 80°, by angle:
| 2θ (°) | I_rel |
| --- | --- |
| 16.37 | 34 |
| 16.86 | 100 |
| 19.29 | 40 |
| 27.83 | 38 |
| 27.95 | 63 |
| 28.16 | 46 |
| 32.41 | 33 |
| 38.88 | 33 |

No. 4
# Ac8Co3Br4N
Calculated powder XRD pattern, λ = 1.5418 Å (Cu Kα). Input: a DFT-relaxed cell (PBE, Alexandria).
Neutral-atom scattering factors, no anomalous dispersion.

Structural model:
```
data_Ac8Co3Br4N
_symmetry_space_group_name_H-M 'P 1'
_symmetry_Int_Tables_number 1
_symmetry_space_group_name_Hall 'P 1'
_cell_length_a 8.3624
_cell_length_b 8.3624
_cell_length_c 9.5568
_cell_angle_alpha 116.10
_cell_angle_beta 116.10
_cell_angle_gamma 59.01
loop_
_atom_site_label
_atom_site_fract_x
_atom_site_fract_y
_atom_site_fract_z
_atom_site_occupancy
Ac1 0.2221 0.7471 0.6858 1
Ac2 0.2288 0.2288 0.6884 1
Ac3 0.2529 0.7779 0.3142 1
Ac4 0.2688 0.2688 0.3108 1
Ac5 0.7312 0.7312 0.6892 1
Ac6 0.7471 0.2221 0.6858 1
Ac7 0.7712 0.7712 0.3116 1
Ac8 0.7779 0.2529 0.3142 1
Co1 0.0000 0.5000 0.5000 1
Co2 0.5000 0.0000 0.5000 1
Co3 0.5000 0.5000 0.5000 1
Br1 0.0000 0.0000 0.0000 1
Br2 0.0000 0.5000 0.0000 1
Br3 0.5000 0.0000 0.0000 1
Br4 0.5000 0.5000 0.0000 1
N1 0.0000 0.0000 0.5000 1
```

Top 8 peaks for 2θ from 10° to 80°, by angle:
| 2θ (°) | I_rel |
| --- | --- |
| 10.73 | 35 |
| 25.87 | 44 |
| 28.43 | 58 |
| 28.81 | 100 |
| 30.79 | 27 |
| 32.58 | 28 |
| 38.43 | 25 |
| 43.28 | 42 |